(1)
This entry pairs a crystal structure of CeAsS with its simulated X-ray powder pattern. Radiation: Cu Kα X-rays. Structure: a DFT-relaxed cell (GGA-PBE, the Materials Project).
Peak positions follow from Bragg's law for the DFT cell and can differ from measured ones.

Structural model:
```
CeAsS
1.0
3.946 0.000 0.000
0.000 3.946 0.000
0.000 0.000 8.395
Ce As S
2 2 2
direct
0.250 0.250 0.212
0.750 0.750 0.788
0.250 0.750 0.500
0.750 0.250 0.500
0.250 0.250 0.866
0.750 0.750 0.134
```

Main lines, by intensity (5° ≤ 2θ ≤ 70°):
2θ (°), d_spacing, I_rel
38.75, 2.324, 100
24.93, 3.571, 91
33.85, 2.648, 61
32.01, 2.796, 57
46.00, 1.973, 47
39.48, 2.283, 34

***

(2)
This entry pairs a crystal structure of Ba6Ca6Cu9Hg3O25 with its simulated X-ray powder pattern. Radiation: Cu Kα X-rays. Structure: a DFT-relaxed cell (GGA-PBE, the Materials Project).
Peak positions follow from Bragg's law for the DFT cell and can differ from measured ones.

Structural model:
```
Ba6Ca6Cu9Hg3O25
1.0
8.215 -2.750 0.000
8.215 2.750 0.000
-5.476 0.000 16.189
Ba Ca Cu Hg O
6 6 9 3 25
direct
0.055 0.055 0.165
0.275 0.275 0.825
0.392 0.392 0.175
0.608 0.608 0.825
0.725 0.725 0.175
0.945 0.945 0.835
0.132 0.132 0.396
0.200 0.200 0.602
0.466 0.466 0.398
0.534 0.534 0.602
0.800 0.800 0.398
0.868 0.868 0.604
0.000 0.000 0.500
0.066 0.066 0.699
0.266 0.266 0.301
0.333 0.333 0.500
0.400 0.400 0.699
0.600 0.600 0.301
0.667 0.667 0.500
0.734 0.734 0.699
0.934 0.934 0.301
0.161 0.161 0.000
0.500 0.500 0.000
0.839 0.839 0.000
0.000 0.000 0.000
0.000 0.500 0.500
0.066 0.563 0.696
0.101 0.601 0.303
0.128 0.128 0.873
0.167 0.666 0.500
0.213 0.213 0.127
0.235 0.731 0.696
0.269 0.765 0.304
0.334 0.833 0.500
0.399 0.899 0.697
0.437 0.934 0.304
0.458 0.458 0.873
0.500 0.000 0.500
0.542 0.542 0.127
0.563 0.066 0.696
0.601 0.101 0.303
0.666 0.167 0.500
0.731 0.235 0.696
0.765 0.269 0.304
0.787 0.787 0.873
0.833 0.334 0.500
0.872 0.872 0.127
0.899 0.399 0.697
0.934 0.437 0.304
```

Main lines, by intensity (5° ≤ 2θ ≤ 70°):
2θ (°), d_spacing, I_rel
28.33, 3.151, 100
31.95, 2.801, 72
25.45, 3.499, 49
46.82, 1.940, 49
5.46, 16.189, 47
32.56, 2.750, 43

***

(3)
This entry pairs a crystal structure of KNaZnP2O7 with its simulated X-ray powder pattern. Radiation: Cu Kα X-rays. Structure: a DFT-relaxed cell (GGA-PBE, the Materials Project).
Peak positions follow from Bragg's law for the DFT cell and can differ from measured ones.

Structural model:
```
KNaZnP2O7
1.0
7.547 0.000 0.000
0.000 7.373 0.000
-7.537 0.000 12.772
K Na Zn P O
4 4 4 8 28
direct
0.003 0.207 0.103
0.003 0.293 0.603
0.997 0.707 0.397
0.997 0.793 0.897
0.485 0.523 0.612
0.485 0.977 0.112
0.515 0.023 0.888
0.515 0.477 0.388
0.452 0.020 0.621
0.452 0.480 0.121
0.548 0.520 0.879
0.548 0.980 0.379
0.226 0.214 0.401
0.226 0.286 0.901
0.228 0.719 0.203
0.228 0.781 0.703
0.772 0.219 0.297
0.772 0.281 0.797
0.774 0.714 0.099
0.774 0.786 0.599
0.008 0.703 0.200
0.008 0.797 0.700
0.211 0.640 0.625
0.211 0.860 0.125
0.243 0.056 0.473
0.243 0.444 0.973
0.263 0.098 0.949
0.263 0.402 0.449
0.275 0.523 0.182
0.275 0.977 0.682
0.358 0.183 0.349
0.358 0.317 0.849
0.379 0.737 0.819
0.379 0.763 0.319
0.621 0.237 0.681
0.621 0.263 0.181
0.642 0.683 0.151
0.642 0.817 0.651
0.725 0.023 0.318
0.725 0.477 0.818
0.737 0.598 0.551
0.737 0.902 0.051
0.757 0.556 0.027
0.757 0.944 0.527
0.789 0.140 0.875
0.789 0.360 0.375
0.992 0.203 0.300
0.992 0.297 0.800
```

Main lines, by intensity (5° ≤ 2θ ≤ 70°):
2θ (°), d_spacing, I_rel
27.82, 3.207, 100
26.91, 3.313, 75
27.94, 3.193, 74
27.46, 3.248, 67
26.54, 3.359, 59
34.30, 2.614, 47